[1]
# ScBe8As6
Computed powder diffractogram, Cu Kα X-rays. Input: a structure optimized by DFT (GGA-PBE).
Lines closer than 0.1° are merged.

Top 12 peaks for 10 to 90 degrees two-theta, in order of rising 2θ:
d [Å]	Position (°2θ)	I_rel
3.356	26.6	28
3.235	27.6	60
3.039	29.4	62
2.938	30.4	100
2.906	30.8	17
2.622	34.2	25
2.585	34.7	18
2.253	40.0	21
1.969	46.1	16
1.937	46.9	43
1.735	52.8	28
1.634	56.3	38

Atomic structure:
Lattice parameters (Å, degrees): 6.7116 6.7116 12.1576 90.00 90.00 120.00
Sites, in units of the cell vectors:
Sc (0.0000, 0.0000, 0.0000)
Sc (0.0000, 0.0000, 0.5000)
Be (0.0000, 0.3337, 0.3307)
Be (0.0000, 0.3383, 0.6834)
Be (0.0000, 0.6617, 0.1834)
Be (0.0000, 0.6663, 0.8307)
Be (0.3333, 0.6667, 0.4388)
Be (0.3333, 0.6667, 0.9388)
Be (0.3337, 0.0000, 0.3307)
Be (0.3337, 0.3337, 0.8307)
Be (0.3383, 0.0000, 0.6834)
Be (0.3383, 0.3383, 0.1834)
Be (0.6617, 0.0000, 0.1834)
Be (0.6617, 0.6617, 0.6834)
Be (0.6663, 0.0000, 0.8307)
Be (0.6663, 0.6663, 0.3307)
Be (0.6667, 0.3333, 0.4388)
Be (0.6667, 0.3333, 0.9388)
As (0.0000, 0.0000, 0.2529)
As (0.0000, 0.0000, 0.7529)
As (0.0000, 0.3963, 0.5061)
As (0.0000, 0.6037, 0.0061)
As (0.3333, 0.6667, 0.2493)
As (0.3333, 0.6667, 0.7493)
As (0.3963, 0.0000, 0.5061)
As (0.3963, 0.3963, 0.0061)
As (0.6037, 0.0000, 0.0061)
As (0.6037, 0.6037, 0.5061)
As (0.6667, 0.3333, 0.2493)
As (0.6667, 0.3333, 0.7493)

***

[2]
# Ba2ZnIn6Ga
Computed powder diffractogram, Cu Kα X-rays. Input: a structure optimized by DFT (GGA-PBE).
Lines closer than 0.1° are merged.

Top 12 peaks for 10 to 90 degrees two-theta, in order of rising 2θ:
d [Å]	Position (°2θ)	I_rel
3.665	24.3	20
3.270	27.3	24
3.197	27.9	22
3.134	28.5	20
3.110	28.7	36
2.943	30.4	88
2.762	32.4	100
2.726	32.9	30
2.382	37.8	28
1.904	47.8	20
1.873	48.6	23
1.833	49.8	44

Atomic structure:
Lattice parameters (Å, degrees): 13.7461 13.7461 13.7461 30.93 30.93 30.93
Sites, in units of the cell vectors:
Ba (0.1071, 0.1071, 0.1071)
Ba (0.2798, 0.2798, 0.2798)
Ba (0.7202, 0.7202, 0.7202)
Ba (0.8929, 0.8929, 0.8929)
Zn (0.0000, 0.0000, 0.0000)
Zn (0.5000, 0.5000, 0.5000)
In (0.0821, 0.6622, 0.6622)
In (0.2239, 0.2239, 0.6488)
In (0.2239, 0.6488, 0.2239)
In (0.3378, 0.3378, 0.9179)
In (0.3378, 0.9179, 0.3378)
In (0.3512, 0.7761, 0.7761)
In (0.6488, 0.2239, 0.2239)
In (0.6622, 0.0821, 0.6622)
In (0.6622, 0.6622, 0.0821)
In (0.7761, 0.3512, 0.7761)
In (0.7761, 0.7761, 0.3512)
In (0.9179, 0.3378, 0.3378)
Ga (0.4266, 0.4266, 0.4266)
Ga (0.5734, 0.5734, 0.5734)

***

[3]
# Li2PuTeO8
Computed powder diffractogram, Cu Kα X-rays. Input: a structure optimized by DFT (GGA-PBE).
Lines closer than 0.1° are merged.

Top 12 peaks for 10 to 90 degrees two-theta, in order of rising 2θ:
d [Å]	Position (°2θ)	I_rel
4.772	18.6	100
3.147	28.4	36
2.827	31.6	41
2.627	34.1	28
2.275	39.6	21
2.017	44.9	15
1.844	49.4	10
1.748	52.3	28
1.698	54.0	13
1.582	58.3	9
1.494	62.1	7
1.375	68.2	8

Atomic structure:
Lattice parameters (Å, degrees): 5.7622 5.7622 5.7622 113.80 113.80 101.12
Sites, in units of the cell vectors:
Li (0.0000, 0.0000, 0.0000)
Li (0.7500, 0.2500, 0.5000)
Pu (0.2500, 0.7500, 0.5000)
Te (0.5000, 0.5000, 0.0000)
O (0.1509, 0.4480, 0.7029)
O (0.2127, 0.0110, 0.7983)
O (0.2127, 0.4144, 0.2017)
O (0.5520, 0.2549, 0.7029)
O (0.5520, 0.8492, 0.2971)
O (0.5856, 0.7873, 0.7983)
O (0.7451, 0.4480, 0.2971)
O (0.9890, 0.7873, 0.2017)

***

[4]
# Ac5Pm2PrY
Computed powder diffractogram, Cu Kα X-rays. Input: a structure optimized by DFT (GGA-PBE).
Lines closer than 0.1° are merged.

Top 12 peaks for 10 to 90 degrees two-theta, in order of rising 2θ:
d [Å]	Position (°2θ)	I_rel
3.578	24.9	15
3.472	25.7	9
3.151	28.3	23
2.994	29.8	100
2.821	31.7	10
2.735	32.7	6
2.266	39.8	6
2.053	44.1	9
1.919	47.4	6
1.728	53.0	17
1.616	57.0	7
1.497	62.0	6

Atomic structure:
Lattice parameters (Å, degrees): 11.3476 11.3476 11.2851 90.00 90.00 149.43
Sites, in units of the cell vectors:
Ac (0.0106, 0.9894, 0.5000)
Ac (0.2765, 0.7235, 0.8103)
Ac (0.2971, 0.7029, 0.1933)
Ac (0.3734, 0.6266, 0.5068)
Ac (0.4877, 0.5123, 0.2367)
Ac (0.5123, 0.4877, 0.7367)
Ac (0.6266, 0.3734, 0.0068)
Ac (0.7029, 0.2971, 0.6933)
Ac (0.7235, 0.2765, 0.3103)
Ac (0.9894, 0.0106, 0.0000)
Pm (0.1141, 0.8859, 0.7878)
Pm (0.1161, 0.8839, 0.2323)
Pm (0.8839, 0.1161, 0.7323)
Pm (0.8859, 0.1141, 0.2878)
Pr (0.4057, 0.5943, 0.9574)
Pr (0.5943, 0.4057, 0.4574)
Y (0.1914, 0.8086, 0.5023)
Y (0.8086, 0.1914, 0.0023)

***

[5]
# Ce3Si8Ni2
Computed powder diffractogram, Cu Kα X-rays. Input: a structure optimized by DFT (GGA-PBE).
Lines closer than 0.1° are merged.

Top 12 peaks for 10 to 90 degrees two-theta, in order of rising 2θ:
d [Å]	Position (°2θ)	I_rel
4.382	20.3	21
3.997	22.2	33
3.677	24.2	24
2.897	30.9	51
2.754	32.5	31
2.587	34.7	68
2.549	35.2	100
2.369	38.0	22
2.098	43.1	33
2.026	44.7	30
1.809	50.5	24
1.595	57.8	30

Atomic structure:
Lattice parameters (Å, degrees): 13.2998 13.2998 4.1951 90.00 90.00 162.48
Sites, in units of the cell vectors:
Ce (0.0000, 0.0000, 0.0000)
Ce (0.3114, 0.6886, 0.5000)
Ce (0.6886, 0.3114, 0.5000)
Si (0.0982, 0.9018, 0.5000)
Si (0.2244, 0.7756, 0.0000)
Si (0.4046, 0.5954, 0.0000)
Si (0.4555, 0.5445, 0.5000)
Si (0.5445, 0.4555, 0.5000)
Si (0.5954, 0.4046, 0.0000)
Si (0.7756, 0.2244, 0.0000)
Si (0.9018, 0.0982, 0.5000)
Ni (0.1348, 0.8652, 0.0000)
Ni (0.8652, 0.1348, 0.0000)

***

[6]
# Th6As5Pd
Computed powder diffractogram, Cu Kα X-rays. Input: a structure optimized by DFT (GGA-PBE).
Lines closer than 0.1° are merged.

Top 12 peaks for 10 to 90 degrees two-theta, in order of rising 2θ:
d [Å]	Position (°2θ)	I_rel
3.469	25.7	40
3.004	29.7	100
2.125	42.5	64
2.121	42.6	13
1.811	50.4	21
1.734	52.8	27
1.502	61.8	13
1.378	68.1	4
1.344	70.0	30
1.342	70.1	6
1.227	77.8	18
1.225	78.0	9

Atomic structure:
Lattice parameters (Å, degrees): 7.3511 7.3511 7.3642 99.62 99.62 119.88
Sites, in units of the cell vectors:
Th (0.0816, 0.4153, 0.2478)
Th (0.2497, 0.2497, 0.7488)
Th (0.4153, 0.0816, 0.2478)
Th (0.5847, 0.9184, 0.7522)
Th (0.7503, 0.7503, 0.2512)
Th (0.9184, 0.5847, 0.7522)
As (0.1694, 0.8306, 0.5000)
As (0.3345, 0.6655, 0.0000)
As (0.5000, 0.5000, 0.5000)
As (0.6655, 0.3345, 0.0000)
As (0.8306, 0.1694, 0.5000)
Pd (0.0000, 0.0000, 0.0000)